Dy3Se3N: computed X-ray diffraction stick pattern (copper Kα), based on the GGA-PBE geometry in OQMD.

Principal peaks in the range 2θ from 10° to 90°, by intensity:
38.41°, rel. 100; 34.11°, rel. 70; 27.07°, rel. 52; 31.32°, rel. 51; 46.07°, rel. 47; 31.95°, rel. 44; 26.72°, rel. 43; 27.31°, rel. 36; 25.24°, rel. 36; 49.38°, rel. 21

Atomic structure:
```
Dy3Se3N
1.0
12.5324 0.0000 0.0000
0.0000 3.9420 0.0000
0.0000 0.0000 13.1748
Dy Se N
12 12 4
Direct
0.0421 0.2500 0.1500 Dy
0.0627 0.2500 0.6338 Dy
0.2033 0.2500 0.8577 Dy
0.2967 0.7500 0.3577 Dy
0.4373 0.7500 0.1338 Dy
0.4579 0.7500 0.6500 Dy
0.5421 0.2500 0.3500 Dy
0.5627 0.2500 0.8662 Dy
0.7033 0.2500 0.6423 Dy
0.7967 0.7500 0.1423 Dy
0.9373 0.7500 0.3662 Dy
0.9579 0.7500 0.8500 Dy
0.0968 0.2500 0.3982 Se
0.1305 0.7500 0.9945 Se
0.2252 0.7500 0.6878 Se
0.2748 0.2500 0.1878 Se
0.3695 0.2500 0.4945 Se
0.4032 0.7500 0.8982 Se
0.5968 0.2500 0.1018 Se
0.6305 0.7500 0.5055 Se
0.7252 0.7500 0.8122 Se
0.7748 0.2500 0.3122 Se
0.8695 0.2500 0.0055 Se
0.9032 0.7500 0.6018 Se
0.0363 0.2500 0.7969 N
0.4637 0.7500 0.2969 N
0.5363 0.2500 0.7031 N
0.9637 0.7500 0.2031 N
```

---

AlFeBiH6: computed X-ray diffraction stick pattern (copper Kα), based on the GGA-PBE geometry in OQMD.

Principal peaks in the range 2θ from 10° to 90°, by intensity:
37.35°, rel. 100; 22.62°, rel. 99; 44.11°, rel. 54; 26.17°, rel. 43; 67.37°, rel. 36; 59.14°, rel. 23; 60.84°, rel. 19; 53.86°, rel. 18; 84.11°, rel. 18; 72.07°, rel. 17

Atomic structure:
```
AlFeBiH6
1.0
0.0000 3.4046 3.4046
3.4046 0.0000 3.4046
3.4046 3.4046 0.0000
Al Fe Bi H
1 1 1 6
Direct
0.0000 0.0000 0.0000 Al
0.2500 0.2500 0.2500 Fe
0.5000 0.5000 0.5000 Bi
0.0078 0.0078 0.4922 H
0.0078 0.4922 0.0078 H
0.0078 0.4922 0.4922 H
0.4922 0.0078 0.0078 H
0.4922 0.0078 0.4922 H
0.4922 0.4922 0.0078 H
```

---

CdInNiPt: computed X-ray diffraction stick pattern (copper Kα), based on the GGA-PBE geometry in OQMD.

Principal peaks in the range 2θ from 10° to 90°, by intensity:
39.54°, rel. 100; 71.73°, rel. 33; 57.16°, rel. 17; 23.91°, rel. 16; 85.14°, rel. 11; 46.74°, rel. 9; 62.84°, rel. 4; 76.84°, rel. 3

Atomic structure:
```
CdInNiPt
1.0
0.0000 3.2231 3.2231
3.2231 0.0000 3.2231
3.2231 3.2231 0.0000
Cd In Ni Pt
1 1 1 1
Direct
0.0000 0.0000 0.0000 Cd
0.5000 0.5000 0.5000 In
0.2500 0.2500 0.2500 Ni
0.7500 0.7500 0.7500 Pt
```